Tl5In7Sn: calculated X-ray diffraction stick pattern (Cu Kα), based on a GGA-PBE-relaxed structure.
Lines closer than 0.1° are merged.

Crystal structure
Lattice parameters (Å, degrees): 8.858 8.858 5.440 106.00 106.00 73.49
Element x y z (fractional)
Tl 0.000 0.000 0.000
Tl 0.224 0.812 0.496
Tl 0.226 0.592 0.887
Tl 0.592 0.226 0.887
Tl 0.812 0.224 0.496
In 0.023 0.401 0.263
In 0.401 0.023 0.263
In 0.402 0.402 0.390
In 0.576 0.861 0.789
In 0.599 0.599 0.199
In 0.834 0.834 0.376
In 0.861 0.576 0.789
Sn 0.209 0.209 0.773

Main lines, sorted by position (2θ from 10° to 90°):
2theta, I/Imax
30.53, 79
31.45, 84
32.81, 100
32.96, 79
33.38, 90
34.70, 34

=====

TmInSn3: calculated X-ray diffraction stick pattern (Cu Kα), based on a GGA-PBE-relaxed structure.
Lines closer than 0.1° are merged.

Crystal structure
Lattice parameters (Å, degrees): 13.275 6.236 6.371 90.00 90.00 90.00
Element x y z (fractional)
Tm 0.187 0.013 0.250
Tm 0.187 0.487 0.750
Tm 0.813 0.513 0.250
Tm 0.813 0.987 0.750
In 0.380 0.250 0.000
In 0.380 0.250 0.500
In 0.620 0.750 0.000
In 0.620 0.750 0.500
Sn 0.001 0.250 0.000
Sn 0.001 0.250 0.500
Sn 0.211 0.518 0.250
Sn 0.211 0.982 0.750
Sn 0.414 0.710 0.750
Sn 0.414 0.790 0.250
Sn 0.586 0.210 0.750
Sn 0.586 0.290 0.250
Sn 0.789 0.018 0.250
Sn 0.789 0.482 0.750
Sn 0.999 0.750 0.000
Sn 0.999 0.750 0.500

Main lines, sorted by position (2θ from 10° to 90°):
2theta, I/Imax
31.14, 56
31.70, 97
33.75, 100
34.70, 92
35.21, 87
40.48, 54

=====

Y3InSn2: calculated X-ray diffraction stick pattern (Cu Kα), based on a GGA-PBE-relaxed structure.
Lines closer than 0.1° are merged.

Crystal structure
Lattice parameters (Å, degrees): 12.425 4.613 11.682 90.00 90.00 90.00
Element x y z (fractional)
Y 0.039 0.250 0.122
Y 0.137 0.750 0.575
Y 0.205 0.250 0.813
Y 0.295 0.750 0.313
Y 0.363 0.250 0.075
Y 0.461 0.750 0.622
Y 0.539 0.250 0.378
Y 0.637 0.750 0.925
Y 0.705 0.250 0.687
Y 0.795 0.750 0.187
Y 0.863 0.250 0.425
Y 0.961 0.750 0.878
In 0.140 0.250 0.367
In 0.360 0.750 0.867
In 0.640 0.250 0.133
In 0.860 0.750 0.633
Sn 0.005 0.750 0.318
Sn 0.181 0.750 0.028
Sn 0.319 0.250 0.528
Sn 0.495 0.250 0.818
Sn 0.505 0.750 0.182
Sn 0.681 0.750 0.472
Sn 0.819 0.250 0.972
Sn 0.995 0.250 0.682

Main lines, sorted by position (2θ from 10° to 90°):
2theta, I/Imax
28.54, 27
30.03, 24
31.47, 21
32.86, 100
35.68, 24
39.06, 37

=====

Y10In3Sn3: calculated X-ray diffraction stick pattern (Cu Kα), based on a GGA-PBE-relaxed structure.
Lines closer than 0.1° are merged.

Crystal structure
Lattice parameters (Å, degrees): 8.992 8.992 6.658 90.00 90.00 120.00
Element x y z (fractional)
Y 0.000 0.239 0.000
Y 0.000 0.762 0.500
Y 0.238 0.238 0.500
Y 0.239 0.000 0.000
Y 0.333 0.667 0.253
Y 0.333 0.667 0.747
Y 0.667 0.333 0.253
Y 0.667 0.333 0.747
Y 0.761 0.761 0.000
Y 0.762 0.000 0.500
In 0.000 0.399 0.500
In 0.399 0.000 0.500
In 0.601 0.601 0.500
Sn 0.000 0.603 0.000
Sn 0.397 0.397 0.000
Sn 0.603 0.000 0.000

Main lines, sorted by position (2θ from 10° to 90°):
2theta, I/Imax
26.78, 24
30.37, 24
33.28, 100
33.50, 70
34.55, 35
51.58, 28

=====

Y4InSn2: calculated X-ray diffraction stick pattern (Cu Kα), based on a GGA-PBE-relaxed structure.
Lines closer than 0.1° are merged.

Crystal structure
Lattice parameters (Å, degrees): 5.749 6.556 10.733 90.00 103.03 90.00
Element x y z (fractional)
Y 0.151 0.250 0.127
Y 0.271 0.750 0.450
Y 0.306 0.010 0.735
Y 0.306 0.490 0.735
Y 0.694 0.510 0.265
Y 0.694 0.990 0.265
Y 0.729 0.250 0.550
Y 0.849 0.750 0.873
In 0.111 0.750 0.170
In 0.889 0.250 0.830
Sn 0.191 0.250 0.435
Sn 0.411 0.750 0.996
Sn 0.589 0.250 0.004
Sn 0.809 0.750 0.565

Main lines, sorted by position (2θ from 10° to 90°):
2theta, I/Imax
27.20, 53
31.14, 81
32.23, 80
33.19, 100
33.75, 81
34.43, 79

=====

Y2InSn: calculated X-ray diffraction stick pattern (Cu Kα), based on a GGA-PBE-relaxed structure.
Lines closer than 0.1° are merged.

Crystal structure
Lattice parameters (Å, degrees): 6.155 4.308 8.908 90.00 108.04 90.00
Element x y z (fractional)
Y 0.200 0.250 0.429
Y 0.293 0.750 0.067
Y 0.707 0.250 0.933
Y 0.800 0.750 0.571
In 0.385 0.750 0.704
In 0.615 0.250 0.296
Sn 0.121 0.250 0.794
Sn 0.879 0.750 0.206

Main lines, sorted by position (2θ from 10° to 90°):
2theta, I/Imax
29.57, 100
31.31, 32
37.16, 88
37.79, 21
39.50, 29
41.94, 24

=====

Y3InSn: calculated X-ray diffraction stick pattern (Cu Kα), based on a GGA-PBE-relaxed structure.
Lines closer than 0.1° are merged.

Crystal structure
Lattice parameters (Å, degrees): 10.839 10.839 10.839 128.40 65.08 143.16
Element x y z (fractional)
Y 0.047 0.253 0.300
Y 0.071 0.250 0.821
Y 0.143 0.618 0.761
Y 0.357 0.118 0.476
Y 0.429 0.250 0.179
Y 0.453 0.753 0.206
Y 0.547 0.247 0.794
Y 0.571 0.750 0.821
Y 0.643 0.882 0.524
Y 0.857 0.382 0.239
Y 0.929 0.750 0.179
Y 0.953 0.747 0.700
In 0.250 0.250 0.000
In 0.250 0.750 0.500
In 0.750 0.250 0.500
In 0.750 0.750 0.000
Sn 0.212 0.306 0.518
Sn 0.288 0.806 0.094
Sn 0.712 0.194 0.906
Sn 0.788 0.694 0.482

Main lines, sorted by position (2θ from 10° to 90°):
2theta, I/Imax
31.43, 45
32.02, 29
32.30, 100
33.59, 94
35.07, 29
37.97, 32

=====

Zn2InSn2: calculated X-ray diffraction stick pattern (Cu Kα), based on a GGA-PBE-relaxed structure.
Lines closer than 0.1° are merged.

Crystal structure
Lattice parameters (Å, degrees): 6.867 6.867 6.867 141.81 141.81 55.11
Element x y z (fractional)
Zn 0.100 0.100 0.000
Zn 0.900 0.900 0.000
In 0.500 0.500 0.000
Sn 0.250 0.750 0.500
Sn 0.750 0.250 0.500

Main lines, sorted by position (2θ from 10° to 90°):
2theta, I/Imax
29.66, 19
31.77, 100
40.14, 41
41.07, 18
42.21, 19
67.73, 23